No. 1
Computed powder diffraction line list of Na2Cd13 for Cu Ka, from a DFT-relaxed cell (PBE, Alexandria).
Kinematic intensities with the Lorentz-polarization factor, no thermal factor.

Largest 12 diffraction maxima, low angle first, 2θ = 5–70°:
two_theta	intensity
32.34	940
33.54	1000
35.83	865
35.93	794
38.42	648
38.53	635
42.85	444
51.41	239
59.48	177
59.80	170
63.55	203
69.34	202

Structure:
abc: 5.4440 8.1414 8.9612
angles: 63.23 80.74 84.99
Fractional coordinates of all 15 atoms:
Na: 0.0546 0.1386 0.0871
Na: 0.9454 0.8614 0.9129
Cd: 0.0000 0.0000 0.5000
Cd: 0.1152 0.2766 0.6743
Cd: 0.1832 0.4033 0.2811
Cd: 0.2789 0.5320 0.9001
Cd: 0.3505 0.6650 0.5158
Cd: 0.4168 0.7981 0.1212
Cd: 0.4713 0.9336 0.7019
Cd: 0.5287 0.0664 0.2981
Cd: 0.5832 0.2019 0.8788
Cd: 0.6495 0.3350 0.4842
Cd: 0.7211 0.4680 0.0999
Cd: 0.8168 0.5967 0.7189
Cd: 0.8848 0.7234 0.3257

---

No. 2
Computed powder diffraction line list of Na5Cd2 for Cu Ka, from a DFT-relaxed cell (PBE, Alexandria).
Kinematic intensities with the Lorentz-polarization factor, no thermal factor.

Largest 12 diffraction maxima, low angle first, 2θ = 5–70°:
two_theta	intensity
13.87	1000
18.17	547
20.74	581
22.31	589
31.49	767
33.15	932
33.33	499
33.63	557
34.37	456
36.81	213
37.06	302
57.45	189

Structure:
abc: 8.4757 9.7668 5.4307
angles: 90.00 95.54 90.00
Fractional coordinates of all 14 atoms:
Na: 0.0000 0.0000 0.0000
Na: 0.1509 0.3056 0.7328
Na: 0.1509 0.6944 0.7328
Na: 0.3491 0.1944 0.2672
Na: 0.3491 0.8056 0.2672
Na: 0.5000 0.5000 0.0000
Na: 0.6509 0.1944 0.7328
Na: 0.6509 0.8056 0.7328
Na: 0.8491 0.3056 0.2672
Na: 0.8491 0.6944 0.2672
Cd: 0.1535 0.5000 0.2261
Cd: 0.3465 0.0000 0.7739
Cd: 0.6535 0.0000 0.2261
Cd: 0.8465 0.5000 0.7739

---

No. 3
Computed powder diffraction line list of Na2Cd for Cu Ka, from a DFT-relaxed cell (PBE, Alexandria).
Kinematic intensities with the Lorentz-polarization factor, no thermal factor.

Largest 12 diffraction maxima, low angle first, 2θ = 5–70°:
two_theta	intensity
16.15	1000
22.92	356
29.58	125
32.63	275
33.51	527
36.61	495
37.41	454
44.32	157
47.47	191
52.74	138
56.11	139
58.80	158

Structure:
abc: 7.7618 7.7618 6.1242
angles: 90.00 90.00 90.00
Fractional coordinates of all 12 atoms:
Na: 0.1644 0.3356 0.0000
Na: 0.1644 0.6644 0.5000
Na: 0.3356 0.1644 0.5000
Na: 0.3356 0.8356 0.0000
Na: 0.6644 0.1644 0.0000
Na: 0.6644 0.8356 0.5000
Na: 0.8356 0.3356 0.5000
Na: 0.8356 0.6644 0.0000
Cd: 0.0000 0.0000 0.2500
Cd: 0.0000 0.0000 0.7500
Cd: 0.5000 0.5000 0.2500
Cd: 0.5000 0.5000 0.7500

---

No. 4
Computed powder diffraction line list of Na3Cd2 for Cu Ka, from a DFT-relaxed cell (PBE, Alexandria).
Kinematic intensities with the Lorentz-polarization factor, no thermal factor.

Largest 12 diffraction maxima, low angle first, 2θ = 5–70°:
two_theta	intensity
17.20	1000
26.99	702
32.18	616
33.97	582
35.36	476
41.08	237
42.49	198
47.69	144
52.30	325
55.65	191
57.59	166
66.82	149

Structure:
abc: 8.8018 8.8018 8.8018
angles: 44.08 44.08 44.08
Fractional coordinates of all 10 atoms:
Na: 0.2491 0.7500 0.2509
Na: 0.2500 0.7491 0.7509
Na: 0.2509 0.2491 0.7500
Na: 0.7491 0.7509 0.2500
Na: 0.7500 0.2509 0.2491
Na: 0.7509 0.2500 0.7491
Cd: 0.1900 0.1900 0.1900
Cd: 0.3100 0.3100 0.3100
Cd: 0.6900 0.6900 0.6900
Cd: 0.8100 0.8100 0.8100

---

No. 5
Computed powder diffraction line list of NaNd6Cd5 for Cu Ka, from a DFT-relaxed cell (PBE, Alexandria).
Kinematic intensities with the Lorentz-polarization factor, no thermal factor.

Largest 12 diffraction maxima, low angle first, 2θ = 5–70°:
two_theta	intensity
10.76	10
12.60	19
17.04	9
22.92	40
32.64	1000
40.26	12
46.76	60
46.87	119
52.75	15
58.25	364
68.38	92
68.47	18

Structure:
abc: 9.4980 9.4980 9.4980
angles: 146.44 131.71 60.09
Fractional coordinates of all 12 atoms:
Na: 0.0000 0.0000 0.0000
Nd: 0.0850 0.8296 0.2553
Nd: 0.2615 0.5000 0.7615
Nd: 0.4257 0.1704 0.2553
Nd: 0.5743 0.8296 0.7447
Nd: 0.7385 0.5000 0.2385
Nd: 0.9150 0.1704 0.7447
Cd: 0.1601 0.6601 0.5000
Cd: 0.3327 0.3327 0.0000
Cd: 0.5000 0.0000 0.5000
Cd: 0.6673 0.6673 0.0000
Cd: 0.8399 0.3399 0.5000

---

No. 6
Computed powder diffraction line list of NaNdCd17 for Cu Ka, from a DFT-relaxed cell (PBE, Alexandria).
Kinematic intensities with the Lorentz-polarization factor, no thermal factor.

Largest 12 diffraction maxima, low angle first, 2θ = 5–70°:
two_theta	intensity
11.64	125
17.46	111
30.48	211
31.23	166
35.40	1000
35.67	225
36.05	254
39.75	529
39.98	159
57.42	76
63.44	131
63.91	218

Structure:
abc: 7.7290 7.7290 7.7290
angles: 82.17 82.17 82.17
Fractional coordinates of all 19 atoms:
Na: 0.0000 0.0000 0.0000
Nd: 0.3270 0.3270 0.3270
Cd: 0.0263 0.0263 0.4693
Cd: 0.0263 0.4693 0.0263
Cd: 0.1437 0.6693 0.6693
Cd: 0.3094 0.3094 0.7948
Cd: 0.3094 0.7948 0.3094
Cd: 0.3559 0.6585 0.9595
Cd: 0.3559 0.9595 0.6585
Cd: 0.4693 0.0263 0.0263
Cd: 0.5544 0.5544 0.5544
Cd: 0.6585 0.3559 0.9595
Cd: 0.6585 0.9595 0.3559
Cd: 0.6693 0.1437 0.6693
Cd: 0.6693 0.6693 0.1437
Cd: 0.7542 0.7542 0.7542
Cd: 0.7948 0.3094 0.3094
Cd: 0.9595 0.3559 0.6585
Cd: 0.9595 0.6585 0.3559